Entry 1:
Ho3Th5: computed XRD peak list (Cu Kα (weighted mean of Kα1 and Kα2)), based on a structure optimized by DFT (GGA-PBE).

Atomic structure:
```
Ho3Th5
1.0
5.030 0.000 0.000
0.000 5.061 0.000
0.000 0.000 10.018
Ho Th
3 5
Cartesian
0.000 0.000 0.000 Ho
2.515 0.000 2.541 Ho
2.515 0.000 7.477 Ho
0.000 0.000 5.009 Th
0.000 2.530 2.510 Th
0.000 2.530 7.509 Th
2.515 2.530 0.000 Th
2.515 2.530 5.009 Th
```

Peak list (8 most intense, 5° ≤ 2θ ≤ 70°, in order of falling intensity)
2.906 Å, 30.8 deg, I = 100.0; 2.530 Å, 35.5 deg, I = 17.2; 2.515 Å, 35.7 deg, I = 16.9; 2.505 Å, 35.9 deg, I = 16.7; 1.524 Å, 60.8 deg, I = 14.9; 1.517 Å, 61.1 deg, I = 14.7; 1.512 Å, 61.3 deg, I = 14.5; 1.453 Å, 64.1 deg, I = 12.7



Entry 2:
Cs2Cu2Te2H: computed XRD peak list (Cu Kα (weighted mean of Kα1 and Kα2)), based on a structure optimized by DFT (GGA-PBE).

Atomic structure:
```
Cs2Cu2Te2H
1.0
12.630 0.000 0.000
0.000 4.558 0.000
-5.089 0.000 7.179
Cs Cu Te H
4 4 4 2
Cartesian
-0.930 0.000 2.334 Cs
2.156 2.279 4.844 Cs
5.386 2.279 2.334 Cs
8.471 0.000 4.844 Cs
1.687 2.279 0.396 Cu
-0.461 0.000 6.783 Cu
8.002 0.000 0.396 Cu
5.855 2.279 6.783 Cu
-1.348 2.279 5.764 Te
2.574 0.000 1.414 Te
4.968 0.000 5.764 Te
8.889 2.279 1.414 Te
0.000 2.279 0.000 H
6.315 0.000 0.000 H
```

Peak list (8 most intense, 5° ≤ 2θ ≤ 70°, in order of falling intensity)
3.286 Å, 27.1 deg, I = 100.0; 2.927 Å, 30.5 deg, I = 55.1; 2.743 Å, 32.6 deg, I = 44.3; 2.905 Å, 30.8 deg, I = 39.7; 3.110 Å, 28.7 deg, I = 38.4; 2.279 Å, 39.5 deg, I = 33.8; 3.364 Å, 26.5 deg, I = 23.1; 1.893 Å, 48.1 deg, I = 21.6



Entry 3:
Tb3Er2Hg2: computed XRD peak list (Cu Kα (weighted mean of Kα1 and Kα2)), based on a structure optimized by DFT (GGA-PBE).

Atomic structure:
```
Tb3Er2Hg2
1.0
9.244 0.000 0.000
0.000 5.340 0.000
-3.088 0.000 7.900
Tb Er Hg
6 4 4
Cartesian
0.000 0.000 0.000 Tb
-0.004 0.000 3.745 Tb
1.538 2.670 4.156 Tb
4.622 2.670 0.000 Tb
4.618 2.670 3.745 Tb
6.160 0.000 4.156 Tb
-1.546 2.670 5.720 Er
3.080 0.000 2.180 Er
3.076 0.000 5.720 Er
7.702 2.670 2.180 Er
1.540 2.670 1.093 Hg
-0.006 0.000 6.808 Hg
6.162 0.000 1.093 Hg
4.616 2.670 6.808 Hg
```

Peak list (8 most intense, 5° ≤ 2θ ≤ 70°, in order of falling intensity)
2.669 Å, 33.6 deg, I = 100.0; 2.732 Å, 32.8 deg, I = 94.2; 1.553 Å, 59.5 deg, I = 34.6; 1.909 Å, 47.6 deg, I = 33.6; 1.541 Å, 60.0 deg, I = 19.1; 1.590 Å, 58.0 deg, I = 14.7; 1.366 Å, 68.7 deg, I = 7.9; 1.875 Å, 48.6 deg, I = 4.8



Entry 4:
Al2FeSi: computed XRD peak list (Cu Kα (weighted mean of Kα1 and Kα2)), based on a structure optimized by DFT (GGA-PBE).

Atomic structure:
```
Al2FeSi
1.0
2.751 0.000 0.000
0.000 2.751 0.000
0.000 0.000 7.227
Al Fe Si
2 1 1
Cartesian
0.000 0.000 0.000 Al
1.375 1.375 2.244 Al
0.000 0.000 3.848 Fe
1.375 1.375 5.145 Si
```

Peak list (8 most intense, 5° ≤ 2θ ≤ 70°, in order of falling intensity)
2.189 Å, 41.2 deg, I = 100.0; 7.227 Å, 12.2 deg, I = 79.4; 1.945 Å, 46.7 deg, I = 41.1; 1.812 Å, 50.4 deg, I = 19.6; 1.375 Å, 68.2 deg, I = 12.6; 3.613 Å, 24.6 deg, I = 9.9; 1.878 Å, 48.5 deg, I = 8.9; 1.807 Å, 50.5 deg, I = 7.6



Entry 5:
CsCuSO: computed XRD peak list (Cu Kα (weighted mean of Kα1 and Kα2)), based on a structure optimized by DFT (GGA-PBE).

Atomic structure:
```
CsCuSO
1.0
4.208 0.000 0.000
-0.067 5.172 0.000
-0.190 -0.116 9.652
Cs Cu S O
2 2 2 2
Cartesian
0.000 0.000 0.000 Cs
-0.081 4.886 5.756 Cs
-0.082 2.547 2.711 Cu
1.986 2.378 4.186 Cu
1.788 2.394 7.488 S
2.029 2.607 2.056 S
1.963 3.954 7.744 O
2.349 2.061 5.975 O
```

Peak list (8 most intense, 5° ≤ 2θ ≤ 70°, in order of falling intensity)
2.584 Å, 34.7 deg, I = 100.0; 3.507 Å, 25.4 deg, I = 75.4; 3.242 Å, 27.5 deg, I = 64.3; 3.285 Å, 27.1 deg, I = 62.6; 4.581 Å, 19.4 deg, I = 58.0; 3.550 Å, 25.1 deg, I = 56.3; 2.723 Å, 32.9 deg, I = 54.4; 2.532 Å, 35.5 deg, I = 39.1



Entry 6:
Pr6Eu: computed XRD peak list (Cu Kα (weighted mean of Kα1 and Kα2)), based on a structure optimized by DFT (GGA-PBE).

Atomic structure:
```
Pr6Eu
1.0
8.436 0.000 0.000
0.000 8.436 0.000
0.000 0.000 8.436
Pr Eu
12 2
Cartesian
0.000 2.109 4.218 Pr
0.000 4.218 2.109 Pr
0.000 4.218 6.327 Pr
0.000 6.327 4.218 Pr
2.109 0.000 4.218 Pr
2.109 4.218 0.000 Pr
4.218 0.000 2.109 Pr
4.218 0.000 6.327 Pr
4.218 2.109 0.000 Pr
4.218 6.327 0.000 Pr
6.327 0.000 4.218 Pr
6.327 4.218 0.000 Pr
0.000 0.000 0.000 Eu
4.218 4.218 4.218 Eu
```

Peak list (8 most intense, 5° ≤ 2θ ≤ 70°, in order of falling intensity)
3.444 Å, 25.9 deg, I = 100.0; 2.255 Å, 40.0 deg, I = 63.2; 4.218 Å, 21.1 deg, I = 41.2; 2.109 Å, 42.9 deg, I = 34.3; 2.435 Å, 36.9 deg, I = 33.6; 1.491 Å, 62.3 deg, I = 22.6; 1.369 Å, 68.6 deg, I = 19.2; 1.540 Å, 60.1 deg, I = 19.1



Entry 7:
Cs9Rb6Pd: computed XRD peak list (Cu Kα (weighted mean of Kα1 and Kα2)), based on a structure optimized by DFT (GGA-PBE).

Atomic structure:
```
Cs9Rb6Pd
1.0
-5.911 5.911 11.101
5.911 -5.911 11.101
5.911 5.911 -11.101
Cs Rb Pd
9 6 1
Cartesian
0.000 0.000 0.000 Cs
3.576 -1.254 3.605 Cs
7.165 -2.335 7.497 Cs
8.246 1.254 3.605 Cs
1.254 3.576 3.605 Cs
4.657 2.335 7.497 Cs
-2.335 4.657 7.497 Cs
-1.254 8.246 3.605 Cs
2.335 7.165 7.497 Cs
4.903 2.678 0.000 Rb
0.000 0.000 7.701 Rb
3.233 -1.007 11.101 Rb
2.678 6.918 0.000 Rb
0.000 0.000 14.501 Rb
1.007 3.233 11.101 Rb
0.000 0.000 11.101 Pd
```

Peak list (8 most intense, 5° ≤ 2θ ≤ 70°, in order of falling intensity)
4.302 Å, 20.6 deg, I = 100.0; 3.738 Å, 23.8 deg, I = 45.3; 2.630 Å, 34.1 deg, I = 35.1; 2.252 Å, 40.0 deg, I = 32.2; 3.700 Å, 24.0 deg, I = 22.1; 2.151 Å, 42.0 deg, I = 18.3; 2.643 Å, 33.9 deg, I = 17.8; 2.236 Å, 40.3 deg, I = 15.8



Entry 8:
Li2PaPbO5: computed XRD peak list (Cu Kα (weighted mean of Kα1 and Kα2)), based on a structure optimized by DFT (GGA-PBE).

Atomic structure:
```
Li2PaPbO5
1.0
3.790 0.000 0.000
0.000 3.790 0.000
0.000 0.000 7.011
Li Pa Pb O
2 1 1 5
Cartesian
0.000 0.000 1.713 Li
0.000 0.000 5.299 Li
1.895 1.895 3.506 Pa
1.895 1.895 0.000 Pb
0.000 0.000 3.506 O
0.000 1.895 1.867 O
0.000 1.895 5.144 O
1.895 0.000 1.867 O
1.895 0.000 5.144 O
```

Peak list (8 most intense, 5° ≤ 2θ ≤ 70°, in order of falling intensity)
3.790 Å, 23.5 deg, I = 100.0; 2.574 Å, 34.9 deg, I = 83.1; 2.129 Å, 42.5 deg, I = 67.0; 2.680 Å, 33.4 deg, I = 39.2; 1.526 Å, 60.7 deg, I = 35.4; 3.506 Å, 25.4 deg, I = 34.6; 1.895 Å, 48.0 deg, I = 25.3; 1.695 Å, 54.1 deg, I = 22.4



Entry 9:
WC4: computed XRD peak list (Cu Kα (weighted mean of Kα1 and Kα2)), based on a structure optimized by DFT (GGA-PBE).

Atomic structure:
```
WC4
1.0
2.759 0.000 0.000
-1.380 2.389 0.000
0.000 0.000 6.375
W C
1 4
Cartesian
0.000 0.000 0.000 W
0.000 1.593 1.453 C
0.000 1.593 2.912 C
1.380 0.796 3.463 C
1.380 0.796 4.922 C
```

Peak list (8 most intense, 5° ≤ 2θ ≤ 70°, in order of falling intensity)
6.375 Å, 13.9 deg, I = 100.0; 2.237 Å, 40.3 deg, I = 64.5; 1.912 Å, 47.6 deg, I = 36.9; 2.389 Å, 37.6 deg, I = 27.6; 3.188 Å, 28.0 deg, I = 24.8; 1.588 Å, 58.1 deg, I = 22.3; 1.348 Å, 69.7 deg, I = 10.2; 1.380 Å, 67.9 deg, I = 8.7



Entry 10:
Ba6HRhAu2: computed XRD peak list (Cu Kα (weighted mean of Kα1 and Kα2)), based on a structure optimized by DFT (GGA-PBE).

Atomic structure:
```
Ba6HRhAu2
1.0
7.674 0.000 0.000
0.000 8.541 0.000
-7.558 0.000 11.387
Ba H Rh Au
12 2 2 4
Cartesian
-2.442 1.543 4.960 Ba
-6.221 2.728 10.653 Ba
-1.324 5.851 4.989 Ba
-5.104 6.961 10.683 Ba
1.048 0.304 2.825 Ba
-2.731 3.967 8.518 Ba
2.847 4.574 2.869 Ba
-0.932 8.238 8.562 Ba
5.219 1.580 0.704 Ba
1.440 2.690 6.398 Ba
6.337 5.814 0.734 Ba
2.558 6.998 6.427 Ba
0.000 0.000 0.000 H
-3.779 4.271 5.693 H
0.058 0.000 5.693 Rh
3.837 4.271 0.000 Rh
-4.125 0.922 8.535 Au
-0.346 3.348 2.842 Au
0.462 5.193 8.545 Au
4.241 7.619 2.851 Au
```

Peak list (8 most intense, 5° ≤ 2θ ≤ 70°, in order of falling intensity)
3.354 Å, 26.6 deg, I = 100.0; 3.416 Å, 26.1 deg, I = 82.9; 3.170 Å, 28.1 deg, I = 76.3; 2.849 Å, 31.4 deg, I = 75.0; 2.837 Å, 31.5 deg, I = 71.7; 2.669 Å, 33.6 deg, I = 69.6; 2.599 Å, 34.5 deg, I = 62.4; 3.389 Å, 26.3 deg, I = 56.2



Entry 11:
Ce2AsBr2: computed XRD peak list (Cu Kα (weighted mean of Kα1 and Kα2)), based on a structure optimized by DFT (GGA-PBE).

Atomic structure:
```
Ce2AsBr2
1.0
4.217 0.000 0.000
-2.109 3.652 0.000
0.000 0.000 31.589
Ce As Br
6 3 6
Cartesian
0.000 0.000 3.608 Ce
0.000 0.000 27.981 Ce
0.000 2.435 17.451 Ce
0.000 2.435 24.667 Ce
2.109 1.217 6.921 Ce
2.109 1.217 14.138 Ce
0.000 0.000 15.794 As
0.000 2.435 5.265 As
2.109 1.217 26.324 As
0.000 0.000 8.751 Br
0.000 0.000 22.838 Br
0.000 2.435 12.309 Br
0.000 2.435 29.810 Br
2.109 1.217 1.779 Br
2.109 1.217 19.280 Br
```

Peak list (8 most intense, 5° ≤ 2θ ≤ 70°, in order of falling intensity)
3.162 Å, 28.2 deg, I = 100.0; 10.530 Å, 8.4 deg, I = 57.3; 2.109 Å, 42.9 deg, I = 42.2; 2.681 Å, 33.4 deg, I = 38.5; 1.349 Å, 69.7 deg, I = 33.1; 2.023 Å, 44.8 deg, I = 32.5; 1.755 Å, 52.1 deg, I = 25.2; 2.389 Å, 37.6 deg, I = 16.8



Entry 12:
CaPdPb2: computed XRD peak list (Cu Kα (weighted mean of Kα1 and Kα2)), based on a structure optimized by DFT (GGA-PBE).

Atomic structure:
```
CaPdPb2
1.0
16.757 0.000 0.000
0.000 8.315 0.000
0.000 0.000 6.004
Ca Pd Pb
8 8 16
Cartesian
1.848 2.079 1.481 Ca
2.391 6.236 0.155 Ca
5.988 2.079 3.157 Ca
6.531 6.236 4.484 Ca
10.227 2.079 1.521 Ca
10.769 6.236 2.847 Ca
14.367 2.079 5.849 Ca
14.909 6.236 4.523 Ca
1.227 6.236 3.080 Pd
2.887 2.079 4.498 Pd
5.491 6.236 1.496 Pd
7.152 2.079 0.077 Pd
9.606 6.236 5.927 Pd
11.266 2.079 4.509 Pd
13.870 6.236 1.506 Pd
15.531 2.079 2.925 Pd
0.571 0.396 4.505 Pb
0.571 3.761 4.505 Pb
3.613 4.576 3.105 Pb
3.613 7.896 3.105 Pb
4.766 0.419 0.103 Pb
4.766 3.739 0.103 Pb
7.808 4.554 1.503 Pb
7.808 7.918 1.503 Pb
8.949 0.396 4.501 Pb
8.949 3.761 4.501 Pb
11.992 4.576 5.902 Pb
11.992 7.896 5.902 Pb
13.145 0.419 2.900 Pb
13.145 3.739 2.900 Pb
16.187 4.554 1.499 Pb
16.187 7.918 1.499 Pb
```

Peak list (8 most intense, 5° ≤ 2θ ≤ 70°, in order of falling intensity)
2.337 Å, 38.5 deg, I = 100.0; 2.951 Å, 30.3 deg, I = 65.8; 2.826 Å, 31.7 deg, I = 65.3; 4.876 Å, 18.2 deg, I = 53.6; 2.312 Å, 39.0 deg, I = 42.7; 2.676 Å, 33.5 deg, I = 37.0; 2.410 Å, 37.3 deg, I = 35.0; 4.189 Å, 21.2 deg, I = 31.9



- Which formula does entry 6 have?
  Pr6Eu



Copy entry 8 word for word.
Li2PaPbO5: computed XRD peak list (Cu Kα (weighted mean of Kα1 and Kα2)), based on a structure optimized by DFT (GGA-PBE).

Atomic structure:
```
Li2PaPbO5
1.0
3.790 0.000 0.000
0.000 3.790 0.000
0.000 0.000 7.011
Li Pa Pb O
2 1 1 5
Cartesian
0.000 0.000 1.713 Li
0.000 0.000 5.299 Li
1.895 1.895 3.506 Pa
1.895 1.895 0.000 Pb
0.000 0.000 3.506 O
0.000 1.895 1.867 O
0.000 1.895 5.144 O
1.895 0.000 1.867 O
1.895 0.000 5.144 O
```

Peak list (8 most intense, 5° ≤ 2θ ≤ 70°, in order of falling intensity)
3.790 Å, 23.5 deg, I = 100.0; 2.574 Å, 34.9 deg, I = 83.1; 2.129 Å, 42.5 deg, I = 67.0; 2.680 Å, 33.4 deg, I = 39.2; 1.526 Å, 60.7 deg, I = 35.4; 3.506 Å, 25.4 deg, I = 34.6; 1.895 Å, 48.0 deg, I = 25.3; 1.695 Å, 54.1 deg, I = 22.4